This entry pairs a crystal structure of BaLi6Ag2 with its computed X-ray diffraction stick pattern. Radiation: Cu Kα (λ = 1.5418 Å). Structure: a crystal structure in Alexandria, relaxed with GGA-PBE.

Main lines, sorted by position (2θ from 15° to 90°):
| hkl | Position (°2θ) | intensity |
| --- | --- | --- |
| 1 0 2 | 26.5 | 58 |
| 1 1 0 | 27.9 | 74 |
| 1 1 1 | 29.3 | 75 |
| 1 0 3 | 33.1 | 100 |
| 2 0 0 | 39.9 | 35 |
| 1 0 4 | 40.9 | 70 |
| 2 1 2 | 48.5 | 22 |
| 2 1 3 | 52.8 | 48 |
| 2 1 4 | 58.5 | 30 |
| 3 1 0 | 65.3 | 17 |

Structural model:
```
9
Lattice="4.517 0.000 0.000 0.000 4.517 0.000 0.000 0.000 10.121" Properties=species:S:1:pos:R:3 pbc="T T T"
Ba 0.000 0.000 0.000
Li 0.000 0.000 5.060
Li 0.000 2.258 3.109
Li 0.000 2.258 7.012
Li 2.258 0.000 3.109
Li 2.258 0.000 7.012
Li 2.258 2.258 5.060
Ag 2.258 2.258 1.512
Ag 2.258 2.258 8.609
```